Record 1
This entry pairs a crystal structure of Pm2Y8In with its computed XRD peak list. Radiation: a wavelength of 1.5418 Å. Structure: the PBE geometry in Alexandria.
Peak positions follow from Bragg's law for the DFT cell and can differ from measured ones.

Cell and atoms:
a b c (Å): 10.1467 10.1467 6.5127
angles (deg): 94.55 94.55 31.91
Sites, in units of the cell vectors:
Pm1 0.2432 0.2432 0.3361
Pm2 0.7568 0.7568 0.6639
Y1 0.0439 0.0439 0.2632
Y2 0.1526 0.1526 0.8097
Y3 0.3394 0.3394 0.8768
Y4 0.4221 0.4221 0.4014
Y5 0.5779 0.5779 0.5986
Y6 0.6606 0.6606 0.1232
Y7 0.8474 0.8474 0.1903
Y8 0.9561 0.9561 0.7368
In1 0.5000 0.5000 0.0000

Peak list (8 most intense, 10° ≤ 2θ ≤ 90°, sorted by position)
two_theta	I/Imax
29.8	26
30.4	15
31.9	62
32.1	100
44.3	17
57.1	11
57.2	16
58.4	12


Record 2
This entry pairs a crystal structure of NdTmH with its computed XRD peak list. Radiation: a wavelength of 1.5418 Å. Structure: the PBE geometry in Alexandria.
Peak positions follow from Bragg's law for the DFT cell and can differ from measured ones.

Cell and atoms:
a b c (Å): 6.9265 6.9265 6.0393
angles (deg): 97.96 97.96 92.60
Sites, in units of the cell vectors:
Nd1 0.0911 0.2834 0.2993
Nd2 0.2834 0.0911 0.7993
Nd3 0.7166 0.9089 0.2007
Nd4 0.9089 0.7166 0.7007
Tm1 0.2268 0.7732 0.2500
Tm2 0.4106 0.5894 0.7500
Tm3 0.5894 0.4106 0.2500
Tm4 0.7732 0.2268 0.7500
H1 0.3357 0.5189 0.3851
H2 0.4811 0.6643 0.1149
H3 0.5189 0.3357 0.8851
H4 0.6643 0.4811 0.6149

Peak list (8 most intense, 10° ≤ 2θ ≤ 90°, sorted by position)
two_theta	I/Imax
28.1	55
29.9	52
30.2	72
31.3	100
32.1	72
33.1	40
38.5	28
53.1	32


Record 3
This entry pairs a crystal structure of PrSm4Ho with its computed XRD peak list. Radiation: a wavelength of 1.5418 Å. Structure: the PBE geometry in Alexandria.
Peak positions follow from Bragg's law for the DFT cell and can differ from measured ones.

Cell and atoms:
a b c (Å): 7.0490 7.0490 9.7382
angles (deg): 90.00 90.00 121.54
Sites, in units of the cell vectors:
Pr1 0.1778 0.8222 0.7500
Pr2 0.8222 0.1778 0.2500
Sm1 0.1535 0.3646 0.7500
Sm2 0.3482 0.6518 0.0725
Sm3 0.3482 0.6518 0.4275
Sm4 0.3646 0.1535 0.2500
Sm5 0.6354 0.8465 0.7500
Sm6 0.6518 0.3482 0.5725
Sm7 0.6518 0.3482 0.9275
Sm8 0.8465 0.6354 0.2500
Ho1 0.0000 0.0000 0.0000
Ho2 0.0000 0.0000 0.5000

Peak list (8 most intense, 10° ≤ 2θ ≤ 90°, sorted by position)
two_theta	I/Imax
25.3	23
30.5	18
31.2	100
31.3	95
31.8	31
49.2	27
51.9	18
56.3	19


Record 4
This entry pairs a crystal structure of ZnAg2SO6 with its computed XRD peak list. Radiation: a wavelength of 1.5418 Å. Structure: the PBE geometry in Alexandria.
Peak positions follow from Bragg's law for the DFT cell and can differ from measured ones.

Cell and atoms:
a b c (Å): 5.6112 5.6112 5.2391
angles (deg): 90.00 90.00 120.00
Sites, in units of the cell vectors:
Zn1 0.0000 0.0000 0.0000
Ag1 0.3333 0.6667 0.5457
Ag2 0.6667 0.3333 0.4543
S1 0.0000 0.0000 0.5000
O1 0.1381 0.2762 0.3071
O2 0.1381 0.8619 0.3071
O3 0.2762 0.1381 0.6929
O4 0.7238 0.8619 0.3071
O5 0.8619 0.1381 0.6929
O6 0.8619 0.7238 0.6929

Peak list (8 most intense, 10° ≤ 2θ ≤ 90°, sorted by position)
two_theta	I/Imax
16.9	82
25.0	74
31.9	100
36.3	43
40.9	44
47.5	65
52.8	24
68.1	22


Record 5
This entry pairs a crystal structure of BaSr2Ag with its computed XRD peak list. Radiation: a wavelength of 1.5418 Å. Structure: the PBE geometry in Alexandria.
Peak positions follow from Bragg's law for the DFT cell and can differ from measured ones.

Cell and atoms:
a b c (Å): 11.3761 11.3761 11.3761
angles (deg): 22.87 22.87 22.87
Sites, in units of the cell vectors:
Ba1 0.0000 0.0000 0.0000
Sr1 0.5561 0.5561 0.5561
Sr2 0.7761 0.7761 0.7761
Ag1 0.1659 0.1659 0.1659

Peak list (8 most intense, 10° ≤ 2θ ≤ 90°, sorted by position)
two_theta	I/Imax
23.4	20
25.2	23
26.5	100
29.6	22
31.4	22
40.0	44
42.3	28
65.3	20


Record 6
This entry pairs a crystal structure of CsNaS14 with its computed XRD peak list. Radiation: a wavelength of 1.5418 Å. Structure: the PBE geometry in Alexandria.
Peak positions follow from Bragg's law for the DFT cell and can differ from measured ones.

Cell and atoms:
a b c (Å): 10.4739 10.4739 10.9239
angles (deg): 110.76 110.76 61.73
Sites, in units of the cell vectors:
Cs1 0.1685 0.8315 0.7500
Cs2 0.8315 0.1685 0.2500
Na1 0.0000 0.5000 0.0000
Na2 0.5000 0.0000 0.5000
S1 0.0114 0.4918 0.6816
S2 0.0480 0.8311 0.0148
S3 0.0768 0.2713 0.6094
S4 0.1689 0.9520 0.4852
S5 0.1886 0.2138 0.4447
S6 0.1992 0.4031 0.4466
S7 0.2050 0.6185 0.0123
S8 0.2138 0.1886 0.9447
S9 0.2713 0.0768 0.1094
S10 0.3815 0.7950 0.4877
S11 0.3904 0.6004 0.3424
S12 0.3996 0.6096 0.1576
S13 0.4031 0.1992 0.9466
S14 0.4918 0.0114 0.1816
S15 0.5082 0.9886 0.8184
S16 0.5969 0.8008 0.0534
S17 0.6004 0.3904 0.8424
S18 0.6096 0.3996 0.6576
S19 0.6185 0.2050 0.5123
S20 0.7287 0.9232 0.8906
S21 0.7862 0.8114 0.0553
S22 0.7950 0.3815 0.9877
S23 0.8008 0.5969 0.5534
S24 0.8114 0.7862 0.5553
S25 0.8311 0.0480 0.5148
S26 0.9232 0.7287 0.3906
S27 0.9520 0.1689 0.9852
S28 0.9886 0.5082 0.3184

Peak list (8 most intense, 10° ≤ 2θ ≤ 90°, sorted by position)
two_theta	I/Imax
11.7	32
18.8	38
19.8	54
21.7	100
23.1	72
23.5	38
26.4	84
30.5	52


Record 7
This entry pairs a crystal structure of BaPa2TaS8 with its computed XRD peak list. Radiation: a wavelength of 1.5418 Å. Structure: the PBE geometry in Alexandria.
Peak positions follow from Bragg's law for the DFT cell and can differ from measured ones.

Cell and atoms:
a b c (Å): 6.0449 6.3773 8.3701
angles (deg): 89.98 89.96 88.65
Sites, in units of the cell vectors:
Ba1 0.0000 0.0000 0.0000
Pa1 0.4999 0.5000 0.2566
Pa2 0.5001 0.5000 0.7434
Ta1 0.0000 0.0000 0.5000
S1 0.2362 0.8323 0.6992
S2 0.2368 0.8329 0.3006
S3 0.2640 0.3204 0.5002
S4 0.2689 0.3933 0.0001
S5 0.7311 0.6067 0.9999
S6 0.7360 0.6796 0.4998
S7 0.7632 0.1671 0.6994
S8 0.7638 0.1677 0.3008

Peak list (8 most intense, 10° ≤ 2θ ≤ 90°, sorted by position)
two_theta	I/Imax
20.0	100
20.5	87
25.5	69
25.9	93
38.2	39
39.1	47
39.7	44
48.0	46


Record 8
This entry pairs a crystal structure of HfSc4Os5 with its computed XRD peak list. Radiation: a wavelength of 1.5418 Å. Structure: the PBE geometry in Alexandria.
Peak positions follow from Bragg's law for the DFT cell and can differ from measured ones.

Cell and atoms:
a b c (Å): 3.2331 3.2331 16.0603
angles (deg): 90.00 90.00 90.00
Sites, in units of the cell vectors:
Hf1 0.0000 0.0000 0.0000
Sc1 0.0000 0.0000 0.2018
Sc2 0.0000 0.0000 0.4003
Sc3 0.0000 0.0000 0.5997
Sc4 0.0000 0.0000 0.7982
Os1 0.5000 0.5000 0.0990
Os2 0.5000 0.5000 0.3005
Os3 0.5000 0.5000 0.5000
Os4 0.5000 0.5000 0.6995
Os5 0.5000 0.5000 0.9010

Peak list (8 most intense, 10° ≤ 2θ ≤ 90°, sorted by position)
two_theta	I/Imax
27.6	26
27.8	13
39.4	51
39.5	100
48.9	11
57.0	17
71.6	35
71.8	17


Record 9
This entry pairs a crystal structure of Dy8CoRh2 with its computed XRD peak list. Radiation: a wavelength of 1.5418 Å. Structure: the PBE geometry in Alexandria.
Peak positions follow from Bragg's law for the DFT cell and can differ from measured ones.

Cell and atoms:
a b c (Å): 7.4605 7.4605 6.0655
angles (deg): 101.39 101.39 113.20
Sites, in units of the cell vectors:
Dy1 0.0000 0.0000 0.0000
Dy2 0.0053 0.2655 0.5848
Dy3 0.1537 0.5557 0.1816
Dy4 0.2655 0.0053 0.5848
Dy5 0.4304 0.6889 0.8003
Dy6 0.5557 0.1537 0.1816
Dy7 0.6889 0.4304 0.8003
Dy8 0.7054 0.7054 0.3681
Co1 0.3559 0.3559 0.9986
Rh1 0.0329 0.6584 0.6882
Rh2 0.6584 0.0329 0.6882

Peak list (8 most intense, 10° ≤ 2θ ≤ 90°, sorted by position)
two_theta	I/Imax
30.3	64
31.3	100
32.6	51
32.8	56
33.7	67
34.8	39
35.0	33
39.6	87


Record 10
This entry pairs a crystal structure of CaCd4Ru with its computed XRD peak list. Radiation: a wavelength of 1.5418 Å. Structure: the PBE geometry in Alexandria.
Peak positions follow from Bragg's law for the DFT cell and can differ from measured ones.

Cell and atoms:
a b c (Å): 5.6696 5.6696 5.6696
angles (deg): 60.00 60.00 60.00
Sites, in units of the cell vectors:
Ca1 0.0000 0.0000 0.0000
Cd1 0.1275 0.6242 0.6242
Cd2 0.6242 0.1275 0.6242
Cd3 0.6242 0.6242 0.1275
Cd4 0.6242 0.6242 0.6242
Ru1 0.2500 0.2500 0.2500

Peak list (8 most intense, 10° ≤ 2θ ≤ 90°, sorted by position)
two_theta	I/Imax
19.2	28
31.6	15
37.2	100
38.9	56
45.2	12
59.9	31
65.9	28
79.3	20


Record 11
This entry pairs a crystal structure of Th3CoPd with its computed XRD peak list. Radiation: a wavelength of 1.5418 Å. Structure: the PBE geometry in Alexandria.
Peak positions follow from Bragg's law for the DFT cell and can differ from measured ones.

Cell and atoms:
a b c (Å): 8.8299 7.4326 8.1439
angles (deg): 90.00 106.25 90.00
Sites, in units of the cell vectors:
Th1 0.0765 0.0042 0.2215
Th2 0.0765 0.4958 0.7215
Th3 0.3202 0.1565 0.6218
Th4 0.3202 0.3435 0.1218
Th5 0.3546 0.6738 0.4946
Th6 0.3546 0.8262 0.9946
Th7 0.6454 0.1738 0.0054
Th8 0.6454 0.3262 0.5054
Th9 0.6798 0.6565 0.8782
Th10 0.6798 0.8435 0.3782
Th11 0.9235 0.5042 0.2785
Th12 0.9235 0.9958 0.7785
Co1 0.4123 0.0305 0.3224
Co2 0.4123 0.4695 0.8224
Co3 0.5877 0.5305 0.1776
Co4 0.5877 0.9695 0.6776
Pd1 0.0584 0.6788 0.0324
Pd2 0.0584 0.8212 0.5324
Pd3 0.9416 0.1788 0.4676
Pd4 0.9416 0.3212 0.9676

Peak list (8 most intense, 10° ≤ 2θ ≤ 90°, sorted by position)
two_theta	I/Imax
27.4	75
27.7	62
31.7	66
32.9	54
33.3	87
35.2	91
36.1	83
38.7	100


Record 12
This entry pairs a crystal structure of Ac3Mg2Hg9 with its computed XRD peak list. Radiation: a wavelength of 1.5418 Å. Structure: the PBE geometry in Alexandria.
Peak positions follow from Bragg's law for the DFT cell and can differ from measured ones.

Cell and atoms:
a b c (Å): 9.2921 9.2921 9.2921
angles (deg): 148.41 114.57 74.47
Sites, in units of the cell vectors:
Ac1 0.0000 0.0000 0.0000
Ac2 0.2837 0.2837 0.0000
Ac3 0.7163 0.7163 0.0000
Mg1 0.3321 0.5000 0.8321
Mg2 0.6679 0.5000 0.1679
Hg1 0.0031 0.6461 0.3570
Hg2 0.1465 0.8569 0.2896
Hg3 0.2891 0.6461 0.6430
Hg4 0.4327 0.1431 0.2896
Hg5 0.5000 0.0000 0.5000
Hg6 0.5673 0.8569 0.7104
Hg7 0.7109 0.3539 0.3570
Hg8 0.8535 0.1431 0.7104
Hg9 0.9969 0.3539 0.6430

Peak list (8 most intense, 10° ≤ 2θ ≤ 90°, sorted by position)
two_theta	I/Imax
30.0	85
31.0	100
31.3	63
32.1	93
35.5	80
40.5	66
47.1	50
60.1	51


Record 13
This entry pairs a crystal structure of PrNdAg with its computed XRD peak list. Radiation: a wavelength of 1.5418 Å. Structure: the PBE geometry in Alexandria.
Peak positions follow from Bragg's law for the DFT cell and can differ from measured ones.

Cell and atoms:
a b c (Å): 7.2474 5.2518 9.4635
angles (deg): 90.00 90.00 90.00
Sites, in units of the cell vectors:
Pr1 0.0095 0.2500 0.1857
Pr2 0.4905 0.7500 0.6857
Pr3 0.5095 0.2500 0.3143
Pr4 0.9905 0.7500 0.8143
Nd1 0.1557 0.2500 0.5819
Nd2 0.3443 0.7500 0.0819
Nd3 0.6557 0.2500 0.9181
Nd4 0.8443 0.7500 0.4181
Ag1 0.2373 0.2500 0.9016
Ag2 0.2627 0.7500 0.4016
Ag3 0.7373 0.2500 0.5984
Ag4 0.7627 0.7500 0.0984

Peak list (8 most intense, 10° ≤ 2θ ≤ 90°, sorted by position)
two_theta	I/Imax
28.2	72
30.0	33
30.9	20
31.1	28
31.4	100
33.1	82
34.1	66
57.3	26